Entry 1:
The following is a theoretical powder diffractogram of Mn3P4O16. It was derived from DFT lattice parameters and positions (GGA+U), using copper Kα.

Largest 12 diffraction maxima, sorted by position, 10° ≤ 2θ ≤ 90°:
2θ 10.87, rel. 23.5, hkl 0 0 1
2θ 13.24, rel. 34.2, hkl 0 2 0
2θ 16.53, rel. 28.9, hkl 1 1 0
2θ 18.45, rel. 26.1, hkl 1 1 -1
2θ 20.16, rel. 35.6, hkl 1 2 0
2θ 21.79, rel. 49.1, hkl 1 2 -1
2θ 22.77, rel. 100.0, hkl 0 3 1
2θ 24.09, rel. 43.2, hkl 1 2 1
2θ 28.40, rel. 33.6, hkl 1 3 1
2θ 29.73, rel. 59.7, hkl 0 3 2
2θ 30.79, rel. 23.1, hkl 2 0 -1
2θ 31.66, rel. 23.7, hkl 1 2 2

Structure:
```
data_Mn3P4O16
_symmetry_space_group_name_H-M 'P 1 21 1'
_symmetry_Int_Tables_number 4
_cell_length_a 5.928
_cell_length_b 13.370
_cell_length_c 8.242
_cell_angle_alpha 90.00
_cell_angle_beta 99.09
_cell_angle_gamma 90.00
loop_
_symmetry_equiv_pos_as_xyz
'x,y,z'
'-x,y+1/2,-z'
loop_
_atom_site_label
_atom_site_fract_x
_atom_site_fract_y
_atom_site_fract_z
Mn1 0.059 0.000 0.214
Mn2 0.378 0.768 0.814
Mn3 0.402 0.133 0.774
P1 0.077 0.654 0.082
P2 0.105 0.941 0.590
P3 0.371 0.190 0.387
P4 0.480 0.466 0.928
O1 0.005 0.550 0.005
O2 0.105 0.915 0.406
O3 0.125 0.841 0.686
O4 0.128 0.194 0.842
O5 0.128 0.484 0.392
O6 0.151 0.725 0.955
O7 0.165 0.120 0.331
O8 0.247 0.460 0.811
O9 0.276 0.643 0.228
O10 0.307 0.009 0.653
O11 0.346 0.949 0.192
O12 0.352 0.290 0.286
O13 0.371 0.212 0.570
O14 0.400 0.653 0.666
O15 0.480 0.069 0.988
O16 0.493 0.375 0.041
```

Entry 2:
The following is a theoretical powder diffractogram of KMg2V3Cu2O12. It was derived from DFT lattice parameters and positions (GGA+U), using copper Kα.

Largest 12 diffraction maxima, sorted by position, 10° ≤ 2θ ≤ 90°:
2θ 24.61, rel. 25.6, hkl 3 1 0
2θ 25.57, rel. 44.9, hkl 2 0 -2
2θ 26.10, rel. 77.6, hkl 1 1 -2
2θ 27.12, rel. 53.2, hkl 0 0 2
2θ 31.64, rel. 51.0, hkl 4 0 0
2θ 32.24, rel. 100.0, hkl 2 4 0
2θ 32.90, rel. 42.6, hkl 4 0 -2
2θ 39.39, rel. 21.1, hkl 0 4 2
2θ 42.78, rel. 23.3, hkl 3 5 0
2θ 43.72, rel. 21.1, hkl 4 4 -2
2θ 51.58, rel. 28.0, hkl 2 0 -4
2θ 54.13, rel. 24.1, hkl 6 4 -2

Structure:
```
data_KMg2V3Cu2O12
_symmetry_space_group_name_H-M 'C 1 2/c 1'
_symmetry_Int_Tables_number 15
_cell_length_a 12.254
_cell_length_b 12.749
_cell_length_c 7.124
_cell_angle_alpha 90.00
_cell_angle_beta 112.60
_cell_angle_gamma 90.00
loop_
_symmetry_equiv_pos_as_xyz
'x,y,z'
'-x,-y,-z'
'-x,y,-z+1/2'
'x,-y,z+1/2'
'x+1/2,y+1/2,z'
'-x+1/2,-y+1/2,-z'
'-x+1/2,y+1/2,-z+1/2'
'x+1/2,-y+1/2,z+1/2'
loop_
_atom_site_label
_atom_site_fract_x
_atom_site_fract_y
_atom_site_fract_z
K1 0.000 0.007 0.250
Mg1 0.213 0.160 0.622
V1 0.000 0.284 0.250
V2 0.235 0.121 0.119
Cu1 0.000 0.266 0.750
Cu2 0.000 0.493 0.250
O1 0.039 0.207 0.467
O2 0.109 0.380 0.268
O3 0.109 0.391 0.824
O4 0.156 0.175 0.875
O5 0.180 0.002 0.611
O6 0.218 0.188 0.319
```

Entry 3:
The following is a theoretical powder diffractogram of NaSr9Fe5Mo5O30. It was derived from DFT lattice parameters and positions (GGA+U), using copper Kα.

Largest 12 diffraction maxima, sorted by position, 10° ≤ 2θ ≤ 90°:
2θ 31.56, rel. 100.0, hkl 0 10 1
2θ 31.78, rel. 51.7, hkl 2 0 0
2θ 44.91, rel. 19.3, hkl 0 20 0
2θ 45.56, rel. 36.0, hkl 0 0 2
2θ 56.06, rel. 20.0, hkl 2 20 0
2θ 56.47, rel. 39.7, hkl 2 10 1
2θ 65.89, rel. 21.1, hkl 0 20 2
2θ 66.40, rel. 10.2, hkl 4 0 0
2θ 74.41, rel. 8.3, hkl 0 30 1
2θ 75.37, rel. 7.6, hkl 0 10 3
2θ 75.49, rel. 9.4, hkl 2 0 2
2θ 83.76, rel. 10.2, hkl 4 20 0

Structure:
```
data_NaSr9Fe5Mo5O30
_symmetry_space_group_name_H-M 'C 1 2 1'
_symmetry_Int_Tables_number 5
_cell_length_a 7.963
_cell_length_b 40.371
_cell_length_c 5.630
_cell_angle_alpha 90.00
_cell_angle_beta 134.97
_cell_angle_gamma 90.00
loop_
_symmetry_equiv_pos_as_xyz
'x,y,z'
'-x,y,-z'
'x+1/2,y+1/2,z'
'-x+1/2,y+1/2,-z'
loop_
_atom_site_label
_atom_site_fract_x
_atom_site_fract_y
_atom_site_fract_z
Na1 0.000 0.000 0.000
Sr1 0.000 0.098 0.000
Sr2 0.000 0.199 0.000
Sr3 0.000 0.299 0.000
Sr4 0.000 0.400 0.000
Sr5 0.000 0.501 0.000
Sr6 0.000 0.599 0.000
Sr7 0.000 0.699 0.000
Sr8 0.000 0.799 0.000
Sr9 0.000 0.900 0.000
Fe1 0.000 0.047 0.500
Fe2 0.000 0.249 0.500
Fe3 0.000 0.649 0.500
Fe4 0.000 0.851 0.500
Fe5 0.000 0.950 0.500
Mo1 0.000 0.148 0.500
Mo2 0.000 0.349 0.500
Mo3 0.000 0.450 0.500
Mo4 0.000 0.550 0.500
Mo5 0.000 0.750 0.500
O1 0.000 0.099 0.500
O2 0.000 0.199 0.500
O3 0.000 0.299 0.500
O4 0.000 0.400 0.500
O5 0.000 0.498 0.500
O6 0.000 0.599 0.500
O7 0.000 0.699 0.500
O8 0.000 0.800 0.500
O9 0.000 0.900 0.500
O10 0.000 0.998 0.500
O11 0.212 0.449 0.983
O12 0.213 0.149 0.442
O13 0.213 0.350 0.444
O14 0.217 0.649 0.995
O15 0.218 0.849 0.998
O16 0.219 0.550 0.435
O17 0.222 0.750 0.440
O18 0.229 0.250 0.016
O19 0.235 0.048 0.021
O20 0.235 0.948 0.451
```

Entry 4:
The following is a theoretical powder diffractogram of FeOF. It was derived from DFT lattice parameters and positions (GGA+U), using copper Kα.

Largest 12 diffraction maxima, sorted by position, 10° ≤ 2θ ≤ 90°:
2θ 26.60, rel. 91.0, hkl 2 0 -3
2θ 26.70, rel. 89.7, hkl 2 0 3
2θ 34.61, rel. 100.0, hkl 2 1 0
2θ 38.05, rel. 14.7, hkl 4 0 0
2θ 39.65, rel. 31.3, hkl 2 1 -3
2θ 42.81, rel. 10.3, hkl 2 0 6
2θ 52.31, rel. 53.1, hkl 4 1 -3
2θ 52.43, rel. 52.3, hkl 4 1 3
2θ 54.78, rel. 14.3, hkl 4 0 -6
2θ 55.01, rel. 15.0, hkl 4 0 6
2θ 59.69, rel. 17.8, hkl 0 2 0
2θ 66.53, rel. 57.7, hkl 6 1 0

Structure:
```
data_FeOF
_symmetry_space_group_name_H-M 'P 1 m 1'
_symmetry_Int_Tables_number 6
_cell_length_a 9.457
_cell_length_b 3.098
_cell_length_c 14.198
_cell_angle_alpha 90.00
_cell_angle_beta 90.22
_cell_angle_gamma 90.00
loop_
_symmetry_equiv_pos_as_xyz
'x,y,z'
'x,-y,z'
loop_
_atom_site_label
_atom_site_fract_x
_atom_site_fract_y
_atom_site_fract_z
Fe1 0.000 0.000 0.000
Fe2 0.002 0.000 0.337
Fe3 0.218 0.500 0.831
Fe4 0.243 0.500 0.489
Fe5 0.277 0.500 0.167
Fe6 0.485 0.000 0.339
Fe7 0.494 0.000 0.008
Fe8 0.512 0.000 0.666
Fe9 0.742 0.500 0.819
Fe10 0.748 0.500 0.147
Fe11 0.751 0.500 0.521
Fe12 0.987 0.000 0.675
O1 0.096 0.500 0.938
O2 0.144 0.000 0.429
O3 0.150 0.000 0.763
O4 0.348 0.000 0.235
O5 0.396 0.500 0.058
O6 0.405 0.500 0.405
O7 0.585 0.500 0.599
O8 0.644 0.000 0.770
O9 0.647 0.000 0.101
O10 0.853 0.000 0.563
O11 0.896 0.500 0.732
O12 0.906 0.500 0.068
F1 0.089 0.500 0.266
F2 0.100 0.500 0.597
F3 0.152 0.000 0.111
F4 0.333 0.000 0.566
F5 0.353 0.000 0.893
F6 0.397 0.500 0.730
F7 0.597 0.500 0.933
F8 0.603 0.500 0.273
F9 0.661 0.000 0.431
F10 0.837 0.000 0.900
F11 0.849 0.000 0.238
F12 0.898 0.500 0.395
```

Entry 5:
The following is a theoretical powder diffractogram of Er2MgTl2W4O16. It was derived from DFT lattice parameters and positions (GGA+U), using copper Kα.

Largest 12 diffraction maxima, sorted by position, 10° ≤ 2θ ≤ 90°:
2θ 26.14, rel. 91.8, hkl 0 0 2
2θ 27.47, rel. 100.0, hkl 0 2 0
2θ 28.90, rel. 96.5, hkl 2 0 -2
2θ 29.23, rel. 96.9, hkl 2 -2 0
2θ 30.69, rel. 67.6, hkl 2 0 0
2θ 32.57, rel. 25.4, hkl 0 1 2
2θ 33.01, rel. 49.3, hkl 0 2 -2
2θ 33.42, rel. 59.5, hkl -2 2 2
2θ 46.31, rel. 22.5, hkl 2 2 -2
2θ 48.70, rel. 21.8, hkl 2 -4 0
2θ 48.87, rel. 25.9, hkl -4 2 2
2θ 54.72, rel. 22.8, hkl 4 -2 0

Structure:
```
data_Er2MgTl2W4O16
_symmetry_space_group_name_H-M 'P 1'
_symmetry_Int_Tables_number 1
_cell_length_a 7.481
_cell_length_b 7.495
_cell_length_c 7.833
_cell_angle_alpha 90.29
_cell_angle_beta 115.98
_cell_angle_gamma 116.54
loop_
_symmetry_equiv_pos_as_xyz
'x,y,z'
loop_
_atom_site_label
_atom_site_fract_x
_atom_site_fract_y
_atom_site_fract_z
Er1 0.000 0.000 0.000
Er2 0.484 0.496 0.415
Mg1 0.625 0.838 0.234
Tl1 0.476 0.010 0.937
Tl2 0.988 0.539 0.399
W1 0.065 0.058 0.532
W2 0.450 0.472 0.883
W3 0.554 0.073 0.501
W4 0.955 0.452 0.909
O1 0.056 0.727 0.986
O2 0.108 0.372 0.128
O3 0.179 0.514 0.826
O4 0.221 0.164 0.842
O5 0.283 0.351 0.572
O6 0.323 0.993 0.586
O7 0.384 0.150 0.287
O8 0.446 0.795 0.394
O9 0.544 0.549 0.162
O10 0.634 0.715 0.846
O11 0.695 0.385 0.958
O12 0.718 0.389 0.620
O13 0.779 0.122 0.782
O14 0.799 0.129 0.438
O15 0.853 0.802 0.536
O16 0.935 0.975 0.245
```

Entry 6:
The following is a theoretical powder diffractogram of Li9Mn7O16. It was derived from DFT lattice parameters and positions (GGA+U), using copper Kα.

Largest 12 diffraction maxima, sorted by position, 10° ≤ 2θ ≤ 90°:
2θ 18.29, rel. 100.0, hkl 2 0 1
2θ 33.94, rel. 18.3, hkl 2 0 -3
2θ 36.22, rel. 23.9, hkl 2 2 -1
2θ 40.85, rel. 35.6, hkl 0 0 4
2θ 44.19, rel. 55.3, hkl 4 2 0
2θ 46.91, rel. 9.9, hkl 2 2 3
2θ 58.25, rel. 9.4, hkl 6 2 1
2θ 61.49, rel. 17.6, hkl 4 2 -4
2θ 61.98, rel. 16.5, hkl 4 2 4
2θ 63.71, rel. 11.3, hkl 8 0 0
2θ 64.81, rel. 7.5, hkl 0 4 0
2θ 79.51, rel. 7.1, hkl 0 4 4

Structure:
```
data_Li9Mn7O16
_symmetry_space_group_name_H-M 'C 1 2/m 1'
_symmetry_Int_Tables_number 12
_cell_length_a 11.684
_cell_length_b 5.754
_cell_length_c 8.837
_cell_angle_alpha 90.00
_cell_angle_beta 90.59
_cell_angle_gamma 90.00
loop_
_symmetry_equiv_pos_as_xyz
'x,y,z'
'-x,-y,-z'
'-x,y,-z'
'x,-y,z'
'x+1/2,y+1/2,z'
'-x+1/2,-y+1/2,-z'
'-x+1/2,y+1/2,-z'
'x+1/2,-y+1/2,z'
loop_
_atom_site_label
_atom_site_fract_x
_atom_site_fract_y
_atom_site_fract_z
Li1 0.000 0.000 0.000
Li2 0.000 0.000 0.500
Li3 0.000 0.500 0.000
Li4 0.124 0.246 0.742
Li5 0.247 0.000 0.501
Mn1 0.000 0.500 0.500
Mn2 0.123 0.249 0.260
Mn3 0.250 0.000 0.000
O1 0.009 0.500 0.243
O2 0.012 0.000 0.245
O3 0.118 0.262 0.488
O4 0.136 0.250 0.005
O5 0.238 0.500 0.251
O6 0.239 0.000 0.253
```